Record 1
For Li2H, DFT lattice parameters and positions (PBE) gives the calculated powder diffractogram in this record (Cu Kα (weighted mean of Kα1 and Kα2)).
Peak positions follow from Bragg's law for the DFT cell and can differ from measured ones.

Atomic structure:
abc: 2.542 11.199 4.914
angles: 90.00 90.00 90.00
Space group Cmc2_1 (No. 36)
Asymmetric unit:
Li 0.000 0.051 0.000 [4 per cell]
Li 0.000 0.186 0.573 [4 per cell]
H 0.000 0.436 0.188 [4 per cell]

Most intense lines, 10 to 80 degrees two-theta, sorted by position:
2theta, d_spacing, I/Imax
15.8, 5.600, 23
24.1, 3.693, 35
36.2, 2.479, 40
36.6, 2.457, 49
37.0, 2.433, 100
40.8, 2.213, 16
47.0, 1.932, 51
52.4, 1.745, 45
57.7, 1.597, 11
58.0, 1.590, 39
66.1, 1.414, 16
66.8, 1.400, 11



Record 2
For LiH2, DFT lattice parameters and positions (PBE) gives the calculated powder diffractogram in this record (Cu Kα (weighted mean of Kα1 and Kα2)).
Peak positions follow from Bragg's law for the DFT cell and can differ from measured ones.

Atomic structure:
abc: 2.487 4.359 4.603
angles: 90.00 90.00 90.00
Space group Amm2 (No. 38)
Asymmetric unit:
Li 0.000 0.000 0.000 [2 per cell]
H 0.500 0.112 0.711 [4 per cell]

Most intense lines, 10 to 80 degrees two-theta, sorted by position:
2theta, d_spacing, I/Imax
28.2, 3.165, 100
39.1, 2.302, 7
41.4, 2.180, 20
46.4, 1.956, 62
54.3, 1.689, 27
56.1, 1.639, 13
58.3, 1.583, 12
64.4, 1.447, 12
67.6, 1.386, 8
70.5, 1.335, 14
76.1, 1.251, 9
79.1, 1.211, 9



Record 3
For Li3H2, DFT lattice parameters and positions (PBE) gives the calculated powder diffractogram in this record (Cu Kα (weighted mean of Kα1 and Kα2)).
Peak positions follow from Bragg's law for the DFT cell and can differ from measured ones.

Atomic structure:
abc: 12.634 2.808 8.737
angles: 90.00 105.01 90.00
Space group C2/m (No. 12)
Asymmetric unit:
Li 0.000 0.000 0.000 [2 per cell]
Li 0.001 0.000 0.317 [4 per cell]
Li 0.165 0.500 0.899 [4 per cell]
Li 0.167 0.500 0.543 [4 per cell]
Li 0.170 0.500 0.219 [4 per cell]
H 0.007 0.500 0.163 [4 per cell]
H 0.167 0.000 0.047 [4 per cell]
H 0.170 0.000 0.385 [4 per cell]

Most intense lines, 10 to 80 degrees two-theta, sorted by position:
2theta, d_spacing, I/Imax
10.5, 8.439, 15
15.6, 5.694, 16
37.5, 2.401, 42
38.6, 2.335, 39
39.0, 2.311, 80
44.5, 2.034, 53
44.8, 2.021, 100
64.0, 1.456, 15
64.3, 1.449, 30
65.8, 1.419, 28
66.6, 1.404, 14
78.3, 1.221, 12



Record 4
For LiH2, DFT lattice parameters and positions (PBE) gives the calculated powder diffractogram in this record (Cu Kα (weighted mean of Kα1 and Kα2)).
Peak positions follow from Bragg's law for the DFT cell and can differ from measured ones.

Atomic structure:
abc: 2.533 2.533 3.717
angles: 90.00 91.79 90.00
Space group P2/m (No. 10)
Asymmetric unit:
Li 0.000 0.000 0.000 [1 per cell]
H 0.500 0.500 0.369 [2 per cell]

Most intense lines, 10 to 80 degrees two-theta, sorted by position:
2theta, d_spacing, I/Imax
24.0, 3.715, 42
35.4, 2.532, 19
42.6, 2.123, 53
43.2, 2.093, 100
43.9, 2.062, 47
49.0, 1.857, 19
51.0, 1.791, 68
56.6, 1.627, 16
57.6, 1.599, 16
62.0, 1.498, 21
72.5, 1.304, 12
75.0, 1.266, 15



Record 5
For LiH, DFT lattice parameters and positions (PBE) gives the calculated powder diffractogram in this record (Cu Kα (weighted mean of Kα1 and Kα2)).
Peak positions follow from Bragg's law for the DFT cell and can differ from measured ones.

Atomic structure:
abc: 5.206 5.206 5.206
angles: 90.00 90.00 90.00
Space group Pm-3n (No. 223)
Asymmetric unit:
Li 0.000 0.250 0.500 [6 per cell]
H 0.000 0.500 0.250 [6 per cell]

Most intense lines, 10 to 80 degrees two-theta, sorted by position:
2theta, d_spacing, I/Imax
24.2, 3.681, 100
34.5, 2.603, 17
38.7, 2.328, 64
42.5, 2.125, 34
49.5, 1.840, 10
55.9, 1.646, 14
61.7, 1.503, 29
64.5, 1.444, 20
67.3, 1.391, 14
72.7, 1.301, 12
77.9, 1.227, 6



Record 6
For Li3H2, DFT lattice parameters and positions (PBE) gives the calculated powder diffractogram in this record (Cu Kα (weighted mean of Kα1 and Kα2)).
Peak positions follow from Bragg's law for the DFT cell and can differ from measured ones.

Atomic structure:
abc: 4.8579 4.8579 14.4475
angles: 90.00 90.00 120.00
Space group R-3c (No. 167, hexagonal axes)
Asymmetric unit:
Li 0.0000 0.3219 0.2500 [18 per cell]
H 0.0000 0.0000 0.1594 [12 per cell]

Most intense lines, 10 to 80 degrees two-theta, sorted by position:
2theta, d_spacing, I/Imax
24.5, 3.635, 6
32.7, 2.740, 1
37.0, 2.429, 9
37.3, 2.408, 21
41.6, 2.169, 100
50.2, 1.818, 1
53.6, 1.710, 24
66.7, 1.402, 19
70.3, 1.339, 21
78.8, 1.214, 2
79.0, 1.212, 16
79.6, 1.204, 3



Record 7
For Li3H, DFT lattice parameters and positions (PBE) gives the calculated powder diffractogram in this record (Cu Kα (weighted mean of Kα1 and Kα2)).
Peak positions follow from Bragg's law for the DFT cell and can differ from measured ones.

Atomic structure:
abc: 2.594 8.407 4.958
angles: 90.00 90.00 90.00
Space group Imm2 (No. 44)
Asymmetric unit:
Li 0.000 0.000 0.000 [2 per cell]
Li 0.000 0.156 0.458 [4 per cell]
H 0.000 0.500 0.803 [2 per cell]

Most intense lines, 10 to 80 degrees two-theta, sorted by position:
2theta, d_spacing, I/Imax
20.8, 4.271, 28
21.1, 4.203, 11
36.2, 2.479, 95
36.8, 2.440, 100
39.2, 2.298, 8
45.0, 2.017, 50
52.2, 1.753, 44
59.6, 1.551, 39
61.4, 1.510, 9
65.6, 1.424, 19
66.8, 1.401, 10
78.4, 1.220, 9



Record 8
For LiMgH2, DFT lattice parameters and positions (PBE) gives the calculated powder diffractogram in this record (Cu Kα (weighted mean of Kα1 and Kα2)).
Peak positions follow from Bragg's law for the DFT cell and can differ from measured ones.

Atomic structure:
abc: 5.2413 5.2413 5.8276
angles: 90.00 90.00 120.00
Space group P3_121 (No. 152)
Asymmetric unit:
Li 0.0000 0.6591 0.1667 [3 per cell]
Mg 0.0000 0.7139 0.6667 [3 per cell]
H 0.0809 0.5144 0.9053 [6 per cell]

Most intense lines, 10 to 80 degrees two-theta, sorted by position:
2theta, d_spacing, I/Imax
24.9, 3.581, 100
34.2, 2.621, 79
36.6, 2.452, 69
37.6, 2.390, 8
42.8, 2.115, 20
51.0, 1.791, 28
53.4, 1.716, 8
55.9, 1.646, 16
59.2, 1.561, 13
61.3, 1.513, 10
62.9, 1.478, 25
67.5, 1.387, 12



Record 9
For Li5MgH8, DFT lattice parameters and positions (PBE) gives the calculated powder diffractogram in this record (Cu Kα (weighted mean of Kα1 and Kα2)).
Peak positions follow from Bragg's law for the DFT cell and can differ from measured ones.

Atomic structure:
abc: 7.944 7.944 7.944
angles: 90.00 90.00 90.00
Space group F-43m (No. 216)
Asymmetric unit:
Li 0.000 0.000 0.000 [4 per cell]
Li 0.126 0.126 0.626 [16 per cell]
Mg 0.250 0.250 0.250 [4 per cell]
H 0.115 0.115 0.385 [16 per cell]
H 0.133 0.133 0.867 [16 per cell]

Most intense lines, 10 to 80 degrees two-theta, sorted by position:
2theta, d_spacing, I/Imax
19.4, 4.586, 48
22.4, 3.972, 36
31.9, 2.809, 63
37.6, 2.395, 100
39.3, 2.293, 13
50.1, 1.822, 13
51.4, 1.776, 13
56.8, 1.622, 22
60.6, 1.529, 33
66.6, 1.404, 23
75.7, 1.256, 9
79.0, 1.211, 10



Record 10
For Li2Mg2H7, DFT lattice parameters and positions (PBE) gives the calculated powder diffractogram in this record (Cu Kα (weighted mean of Kα1 and Kα2)).
Peak positions follow from Bragg's law for the DFT cell and can differ from measured ones.

Atomic structure:
abc: 3.234 3.234 9.224
angles: 90.00 90.00 90.00
Space group P-4m2 (No. 115)
Asymmetric unit:
Li 0.000 0.500 0.126 [2 per cell]
Mg 0.000 0.500 0.635 [2 per cell]
H 0.000 0.000 0.236 [2 per cell]
H 0.000 0.000 0.500 [1 per cell]
H 0.500 0.500 0.000 [1 per cell]
H 0.500 0.500 0.251 [2 per cell]
H 0.500 0.500 0.500 [1 per cell]

Most intense lines, 10 to 80 degrees two-theta, sorted by position:
2theta, d_spacing, I/Imax
29.0, 3.075, 11
29.3, 3.052, 39
33.9, 2.648, 100
39.1, 2.306, 12
39.4, 2.287, 24
40.6, 2.220, 10
49.7, 1.835, 12
56.7, 1.624, 25
56.9, 1.617, 13
67.5, 1.388, 11
67.9, 1.380, 24
71.2, 1.324, 9



Record 11
For LiMgMoH6, DFT lattice parameters and positions (PBE) gives the calculated powder diffractogram in this record (Cu Kα (weighted mean of Kα1 and Kα2)).
Peak positions follow from Bragg's law for the DFT cell and can differ from measured ones.

Atomic structure:
abc: 4.4782 4.4782 8.8788
angles: 90.00 90.00 120.00
Space group P6_3/mmc (No. 194)
Asymmetric unit:
Li 0.3333 0.6667 0.2500 [2 per cell]
Mg 0.0000 0.0000 0.0000 [2 per cell]
Mo 0.3333 0.6667 0.7500 [2 per cell]
H 0.0085 0.5042 0.6124 [12 per cell]

Most intense lines, 10 to 80 degrees two-theta, sorted by position:
2theta, d_spacing, I/Imax
20.0, 4.439, 25
25.1, 3.554, 100
30.6, 2.921, 54
38.3, 2.353, 32
40.3, 2.239, 34
40.6, 2.220, 10
45.4, 1.999, 18
48.0, 1.894, 16
51.4, 1.777, 12
58.6, 1.576, 23
64.4, 1.446, 13
67.3, 1.392, 11



Record 12
For Li4MgH3N3, DFT lattice parameters and positions (PBE) gives the calculated powder diffractogram in this record (Cu Kα (weighted mean of Kα1 and Kα2)).
Peak positions follow from Bragg's law for the DFT cell and can differ from measured ones.

Atomic structure:
abc: 3.687 10.701 4.772
angles: 90.00 90.00 90.00
Space group Imm2 (No. 44)
Asymmetric unit:
Li 0.000 0.173 0.000 [4 per cell]
Li 0.000 0.180 0.502 [4 per cell]
Mg 0.000 0.500 0.473 [2 per cell]
H 0.000 0.000 0.554 [2 per cell]
H 0.000 0.394 0.907 [4 per cell]
N 0.000 0.000 0.770 [2 per cell]
N 0.000 0.334 0.737 [4 per cell]

Most intense lines, 10 to 80 degrees two-theta, sorted by position:
2theta, d_spacing, I/Imax
16.6, 5.350, 22
20.4, 4.358, 67
25.6, 3.486, 19
30.6, 2.918, 84
31.3, 2.857, 100
35.0, 2.562, 27
46.0, 1.971, 24
49.4, 1.844, 34
51.2, 1.783, 31
52.4, 1.747, 95
59.7, 1.549, 20
73.9, 1.282, 23